# 1
The following is a simulated powder diffractogram of Ba2RuF6. It was derived from a crystal structure in Alexandria, relaxed with GGA-PBE, using λ = 1.5418 Å (Cu Kα).

Atomic structure:
```
Ba2RuF6
1.0
5.404 0.000 0.000
0.000 7.093 0.000
-4.853 0.000 8.246
Ba Ru F
4 2 12
Direct
0.215 0.103 0.259
0.215 0.397 0.759
0.785 0.603 0.241
0.785 0.897 0.741
0.500 0.000 0.000
0.500 0.500 0.500
0.132 0.155 0.956
0.132 0.345 0.456
0.319 0.028 0.747
0.319 0.472 0.247
0.319 0.724 0.941
0.319 0.776 0.441
0.681 0.224 0.559
0.681 0.276 0.059
0.681 0.528 0.753
0.681 0.972 0.253
0.868 0.655 0.544
0.868 0.845 0.044
```

Most intense lines, 2θ from 15° to 90°, sorted by position:
2θ (°), d [Å], I_rel
16.49, 5.377, 72.6
20.27, 4.381, 79.3
22.84, 3.893, 64.3
27.38, 3.258, 91.3
29.23, 3.056, 100.0
30.86, 2.898, 89.4
33.23, 2.696, 62.2
42.93, 2.107, 76.0

=====

# 2
The following is a simulated powder diffractogram of BaS4F. It was derived from a crystal structure in Alexandria, relaxed with GGA-PBE, using λ = 1.5418 Å (Cu Kα).

Atomic structure:
```
BaS4F
1.0
4.965 0.000 0.000
0.000 6.328 0.000
-0.174 0.000 9.937
Ba S F
2 8 2
Direct
0.129 0.250 0.241
0.871 0.750 0.759
0.102 0.250 0.582
0.107 0.250 0.901
0.486 0.250 0.632
0.492 0.250 0.854
0.508 0.750 0.146
0.514 0.750 0.368
0.893 0.750 0.099
0.898 0.750 0.418
0.368 0.750 0.736
0.632 0.250 0.264
```

Most intense lines, 2θ from 15° to 90°, sorted by position:
2θ (°), d [Å], I_rel
17.86, 4.968, 65.0
22.77, 3.906, 55.4
24.37, 3.652, 25.8
24.61, 3.618, 30.7
28.21, 3.164, 82.6
30.46, 2.934, 100.0
33.58, 2.669, 27.6
38.98, 2.311, 34.4

=====

# 3
The following is a simulated powder diffractogram of BaS5F. It was derived from a crystal structure in Alexandria, relaxed with GGA-PBE, using λ = 1.5418 Å (Cu Kα).

Atomic structure:
```
BaS5F
1.0
4.559 0.000 0.000
-0.143 5.837 0.000
-1.950 -2.537 7.728
Ba S F
1 5 1
Direct
0.000 0.000 0.000
0.022 0.247 0.636
0.277 0.070 0.462
0.347 0.561 0.129
0.628 0.324 0.485
0.782 0.551 0.127
0.444 0.950 0.871
```

Most intense lines, 2θ from 15° to 90°, sorted by position:
2θ (°), d [Å], I_rel
15.98, 5.546, 73.3
22.46, 3.958, 91.1
23.02, 3.864, 95.9
23.60, 3.769, 94.7
27.08, 3.293, 100.0
30.67, 2.915, 70.1
33.36, 2.686, 48.8
43.11, 2.098, 43.5

=====

# 4
The following is a simulated powder diffractogram of Ba2SF. It was derived from a crystal structure in Alexandria, relaxed with GGA-PBE, using λ = 1.5418 Å (Cu Kα).

Atomic structure:
```
Ba2SF
1.0
0.000 3.709 3.709
3.709 0.000 3.709
3.709 3.709 0.000
Ba S F
2 1 1
Direct
0.250 0.250 0.250
0.750 0.750 0.750
0.000 0.000 0.000
0.500 0.500 0.500
```

Most intense lines, 2θ from 15° to 90°, sorted by position:
2θ (°), d [Å], I_rel
24.00, 3.709, 53.4
34.19, 2.622, 100.0
42.21, 2.141, 16.6
49.13, 1.854, 17.3
55.40, 1.659, 22.9
61.22, 1.514, 35.2
77.16, 1.236, 11.4
82.20, 1.173, 15.4

=====

# 5
The following is a simulated powder diffractogram of BaSnS2F. It was derived from a crystal structure in Alexandria, relaxed with GGA-PBE, using λ = 1.5418 Å (Cu Kα).

Atomic structure:
```
BaSnS2F
1.0
4.133 0.000 0.000
0.000 4.133 0.000
0.000 0.000 14.063
Ba Sn S F
2 2 4 2
Direct
0.250 0.250 0.118
0.750 0.750 0.882
0.250 0.250 0.609
0.750 0.750 0.391
0.250 0.250 0.403
0.250 0.250 0.783
0.750 0.750 0.217
0.750 0.750 0.597
0.250 0.750 0.000
0.750 0.250 0.000
```

Most intense lines, 2θ from 15° to 90°, sorted by position:
2θ (°), d [Å], I_rel
24.99, 3.563, 100.0
25.33, 3.516, 29.4
30.59, 2.922, 65.7
40.12, 2.247, 48.6
43.81, 2.067, 30.6
44.43, 2.039, 30.6
51.09, 1.788, 30.5
64.17, 1.451, 20.7

=====

# 6
The following is a simulated powder diffractogram of BaSbF5. It was derived from a crystal structure in Alexandria, relaxed with GGA-PBE, using λ = 1.5418 Å (Cu Kα).

Atomic structure:
```
BaSbF5
1.0
4.795 0.000 0.000
0.000 9.510 0.000
0.000 0.000 11.447
Ba Sb F
4 4 20
Direct
0.012 0.250 0.000
0.012 0.250 0.500
0.988 0.750 0.000
0.988 0.750 0.500
0.391 0.056 0.250
0.391 0.444 0.750
0.609 0.556 0.250
0.609 0.944 0.750
0.099 0.208 0.250
0.099 0.292 0.750
0.112 0.512 0.617
0.112 0.512 0.883
0.112 0.988 0.117
0.112 0.988 0.383
0.472 0.693 0.115
0.472 0.693 0.385
0.472 0.807 0.615
0.472 0.807 0.885
0.528 0.193 0.115
0.528 0.193 0.385
0.528 0.307 0.615
0.528 0.307 0.885
0.888 0.012 0.617
0.888 0.012 0.883
0.888 0.488 0.117
0.888 0.488 0.383
0.901 0.708 0.250
0.901 0.792 0.750
```

Most intense lines, 2θ from 15° to 90°, sorted by position:
2θ (°), d [Å], I_rel
20.22, 4.391, 39.2
22.17, 4.010, 49.2
24.22, 3.675, 100.0
24.34, 3.657, 98.0
26.40, 3.376, 45.6
31.26, 2.862, 23.1
41.36, 2.183, 83.4
51.59, 1.772, 26.6

=====

# 7
The following is a simulated powder diffractogram of BaSb2F12. It was derived from a crystal structure in Alexandria, relaxed with GGA-PBE, using λ = 1.5418 Å (Cu Kα).

Atomic structure:
```
BaSb2F12
1.0
5.457 0.000 0.000
-2.469 5.165 0.000
-2.571 -1.757 9.489
Ba Sb F
1 2 12
Direct
0.000 0.000 0.000
0.176 0.521 0.696
0.400 0.699 0.245
0.061 0.533 0.075
0.139 0.787 0.808
0.188 0.443 0.338
0.239 0.254 0.615
0.243 0.934 0.273
0.431 0.793 0.626
0.505 0.592 0.862
0.507 0.454 0.166
0.574 0.934 0.122
0.740 0.873 0.395
0.841 0.453 0.552
0.955 0.271 0.798
```

Most intense lines, 2θ from 15° to 90°, sorted by position:
2θ (°), d [Å], I_rel
17.46, 5.078, 28.6
18.96, 4.680, 100.0
21.29, 4.173, 46.1
22.18, 4.008, 60.3
23.21, 3.832, 53.0
24.78, 3.592, 40.4
31.41, 2.848, 30.1
40.54, 2.225, 28.7

=====

# 8
The following is a simulated powder diffractogram of BaSbF7. It was derived from a crystal structure in Alexandria, relaxed with GGA-PBE, using λ = 1.5418 Å (Cu Kα).

Atomic structure:
```
BaSbF7
1.0
5.718 0.000 0.000
0.000 10.067 0.000
-0.190 0.000 10.491
Ba Sb F
4 4 28
Direct
0.185 0.172 0.010
0.185 0.328 0.510
0.815 0.672 0.490
0.815 0.828 0.990
0.330 0.608 0.184
0.330 0.892 0.684
0.670 0.108 0.316
0.670 0.392 0.816
0.045 0.687 0.244
0.045 0.813 0.744
0.119 0.547 0.608
0.119 0.953 0.108
0.174 0.052 0.637
0.174 0.448 0.137
0.258 0.690 0.022
0.258 0.810 0.522
0.382 0.045 0.382
0.382 0.455 0.882
0.393 0.542 0.355
0.393 0.958 0.855
0.490 0.238 0.765
0.490 0.262 0.265
0.510 0.738 0.735
0.510 0.762 0.235
0.607 0.042 0.145
0.607 0.458 0.645
0.618 0.545 0.118
0.618 0.955 0.618
0.742 0.190 0.478
0.742 0.310 0.978
0.826 0.552 0.863
0.826 0.948 0.363
0.881 0.047 0.892
0.881 0.453 0.392
0.955 0.187 0.256
0.955 0.313 0.756
```

Most intense lines, 2θ from 15° to 90°, sorted by position:
2θ (°), d [Å], I_rel
19.57, 4.537, 48.9
19.88, 4.466, 46.3
22.80, 3.901, 39.1
24.49, 3.635, 25.0
24.92, 3.574, 100.0
26.99, 3.303, 26.7
37.11, 2.422, 19.1
40.14, 2.246, 23.5